# 1
For PbNF3, a cell relaxed with PBE gives the theoretical PXRD pattern in this record (Cu Kα (weighted mean of Kα1 and Kα2)).
Kinematic intensities with the Lorentz-polarization factor, no thermal factor.

Structural model:
```
data_PbNF3
_symmetry_space_group_name_H-M 'P 1'
_symmetry_Int_Tables_number 1
_cell_length_a 4.4009
_cell_length_b 6.5277
_cell_length_c 7.5700
_cell_angle_alpha 88.78
_cell_angle_beta 89.97
_cell_angle_gamma 89.71
loop_
_symmetry_equiv_pos_as_xyz
'x,y,z'
loop_
_atom_site_label
_atom_site_type_symbol
_atom_site_fract_x
_atom_site_fract_y
_atom_site_fract_z
Pb1 Pb 0.0000 0.0000 0.0000
Pb2 Pb 0.9999 0.0008 0.5000
N1 N 0.4916 0.3953 0.9941
N2 N 0.5005 0.5049 0.4962
F1 F 0.0012 0.7954 0.2930
F2 F 0.0016 0.7946 0.7139
F3 F 0.4998 0.0028 0.4998
F4 F 0.5007 0.8888 0.0010
F5 F 0.9980 0.2113 0.7034
F6 F 0.9981 0.2119 0.2894
```

Peak list (10 most intense, 2θ = 15–90°, low angle first)
| 2theta | d_spacing | I/Imax | (hkl) |
| --- | --- | --- | --- |
| 20.18 | 4.401 | 100.0 | 1 0 0 |
| 23.51 | 3.784 | 66.1 | 0 0 2 |
| 24.34 | 3.657 | 64.7 | 1 1 0 |
| 24.45 | 3.640 | 63.8 | 1 -1 0 |
| 26.98 | 3.304 | 45.1 | 0 1 2 |
| 27.33 | 3.263 | 40.0 | 0 2 0 |
| 27.50 | 3.244 | 44.0 | 0 1 -2 |
| 33.93 | 2.642 | 45.3 | -1 1 2 |
| 34.33 | 2.612 | 59.6 | 1 -1 2 |
| 35.96 | 2.498 | 35.5 | 0 2 2 |



# 2
For Pb2N2F5, a cell relaxed with PBE gives the theoretical PXRD pattern in this record (Cu Kα (weighted mean of Kα1 and Kα2)).
Kinematic intensities with the Lorentz-polarization factor, no thermal factor.

Structural model:
```
data_Pb2N2F5
_symmetry_space_group_name_H-M 'F m m m'
_symmetry_Int_Tables_number 69
_symmetry_space_group_name_Hall '-F 2 2'
_cell_length_a 6.5869
_cell_length_b 11.7604
_cell_length_c 13.0377
_cell_angle_alpha 90.00
_cell_angle_beta 90.00
_cell_angle_gamma 90.00
loop_
_atom_site_label
_atom_site_type_symbol
_atom_site_fract_x
_atom_site_fract_y
_atom_site_fract_z
Pb1 Pb 0.0000 0.0000 0.1786
N1 N 0.0000 0.0474 0.5000
F1 F 0.0000 0.0000 0.0000
F2 F 0.2500 0.1124 0.2500
```

Peak list (10 most intense, 2θ = 15–90°, low angle first)
| 2theta | d_spacing | I/Imax | (hkl) |
| --- | --- | --- | --- |
| 15.07 | 5.880 | 100.0 | 0 2 0 |
| 16.86 | 5.259 | 39.4 | 1 1 1 |
| 20.34 | 4.366 | 22.3 | 0 2 2 |
| 25.70 | 3.466 | 87.1 | 1 1 3 |
| 31.13 | 2.873 | 31.8 | 2 2 0 |
| 33.66 | 2.662 | 42.0 | 1 3 3 |
| 37.89 | 2.375 | 19.4 | 1 1 5 |
| 41.16 | 2.193 | 20.3 | 2 4 0 |
| 45.99 | 1.974 | 16.8 | 1 5 3 |
| 47.01 | 1.933 | 17.5 | 3 1 3 |



# 3
For TiPdNF, a cell relaxed with PBE gives the theoretical PXRD pattern in this record (Cu Kα (weighted mean of Kα1 and Kα2)).
Kinematic intensities with the Lorentz-polarization factor, no thermal factor.

Structural model:
```
data_TiPdNF
_symmetry_space_group_name_H-M 'I 4 m m'
_symmetry_Int_Tables_number 107
_symmetry_space_group_name_Hall 'I 4 -2'
_cell_length_a 2.9179
_cell_length_b 2.9179
_cell_length_c 12.3395
_cell_angle_alpha 90.00
_cell_angle_beta 90.00
_cell_angle_gamma 90.00
loop_
_atom_site_label
_atom_site_type_symbol
_atom_site_fract_x
_atom_site_fract_y
_atom_site_fract_z
Ti1 Ti 0.0000 0.0000 0.0000
Pd1 Pd 0.0000 0.0000 0.3275
N1 N 0.0000 0.0000 0.4910
F1 F 0.0000 0.0000 0.1534
```

Peak list (10 most intense, 2θ = 15–90°, low angle first)
| 2theta | d_spacing | I/Imax | (hkl) |
| --- | --- | --- | --- |
| 28.94 | 3.085 | 17.4 | 0 0 4 |
| 31.51 | 2.840 | 100.0 | 1 0 1 |
| 37.80 | 2.380 | 71.4 | 1 0 3 |
| 43.88 | 2.063 | 53.2 | 1 1 0 |
| 44.03 | 2.057 | 25.8 | 0 0 6 |
| 48.30 | 1.884 | 24.6 | 1 0 5 |
| 63.80 | 1.459 | 15.8 | 2 0 0 |
| 63.91 | 1.457 | 30.8 | 1 1 6 |
| 72.89 | 1.298 | 15.7 | 2 1 1 |
| 76.60 | 1.244 | 18.7 | 2 1 3 |